# Ba5Ru2O11
Simulated X-ray powder pattern, λ = 1.5418 Å (Cu Kα). Input: a cell relaxed with PBE.

Main lines, low angle first (15 to 90 degrees two-theta):
2θ (°)  Rel. int.
25.75  22.2
25.90  42.6
29.39  58.8
29.49  100.0
29.84  32.0
39.44  24.7
39.67  31.9
42.19  25.8
52.21  22.4
61.19  23.7

Atomic structure:
a b c (Å): 6.058 6.058 18.270
angles (deg): 90.23 90.23 119.81
Sites, in units of the cell vectors:
1 Ba 0.160 0.829 0.517
2 Ba 0.166 0.834 0.750
3 Ba 0.171 0.840 0.983
4 Ba 0.497 0.499 0.361
5 Ba 0.499 0.497 0.861
6 Ba 0.501 0.503 0.139
7 Ba 0.503 0.501 0.639
8 Ba 0.829 0.160 0.017
9 Ba 0.834 0.166 0.250
10 Ba 0.840 0.171 0.483
11 Ru 0.166 0.833 0.327
12 Ru 0.167 0.834 0.173
13 Ru 0.833 0.166 0.827
14 Ru 0.834 0.167 0.673
15 O 0.011 0.989 0.119
16 O 0.011 0.989 0.381
17 O 0.012 0.522 0.381
18 O 0.013 0.525 0.115
19 O 0.128 0.314 0.751
20 O 0.314 0.128 0.251
21 O 0.315 0.685 0.250
22 O 0.357 0.429 0.501
23 O 0.429 0.357 0.001
24 O 0.475 0.987 0.385
25 O 0.478 0.988 0.119
26 O 0.522 0.012 0.881
27 O 0.525 0.013 0.615
28 O 0.571 0.643 0.999
29 O 0.643 0.571 0.499
30 O 0.685 0.315 0.750
31 O 0.686 0.872 0.749
32 O 0.872 0.686 0.249
33 O 0.987 0.475 0.885
34 O 0.988 0.478 0.619
35 O 0.989 0.011 0.619
36 O 0.989 0.011 0.881